1.
# Dy5SbS5
Simulated powder XRD pattern, λ = 1.5418 Å (Cu Kα). Input: a PBE-relaxed structure.

Cell and atoms:
Cell lengths 6.9039, 6.9039, 8.0392 Å; angles 106.76, 106.76, 48.68 degrees
Fractional positions:
Dy: 0.0000 0.0000 0.0000
Dy: 0.3288 0.3288 0.6509
Dy: 0.3326 0.3326 0.1823
Dy: 0.6674 0.6674 0.8177
Dy: 0.6712 0.6712 0.3491
Sb: 0.5000 0.5000 0.0000
S: 0.1656 0.1656 0.3322
S: 0.1734 0.1734 0.8424
S: 0.5000 0.5000 0.5000
S: 0.8266 0.8266 0.1576
S: 0.8344 0.8344 0.6678

Largest 10 diffraction maxima, in order of rising 2θ, 2θ from 15° to 90°:
2θ/deg, I_rel
17.26, 40
27.16, 58
27.35, 59
31.44, 97
31.59, 93
31.70, 93
45.15, 100
45.25, 68
56.45, 35
74.69, 37



2.
# TbDySbS
Simulated powder XRD pattern, λ = 1.5418 Å (Cu Kα). Input: a PBE-relaxed structure.

Cell and atoms:
Cell lengths 11.0552, 11.0552, 11.0552 Å; angles 25.88, 25.88, 25.88 degrees
Fractional positions:
Tb: 0.1219 0.1219 0.1219
Tb: 0.8781 0.8781 0.8781
Dy: 0.2945 0.2945 0.2945
Dy: 0.7055 0.7055 0.7055
Sb: 0.3941 0.3941 0.3941
Sb: 0.6059 0.6059 0.6059
S: 0.2050 0.2050 0.2050
S: 0.7950 0.7950 0.7950

Largest 10 diffraction maxima, in order of rising 2θ, 2θ from 15° to 90°:
2θ/deg, I_rel
21.46, 29
23.54, 44
24.99, 20
28.53, 41
33.57, 24
34.96, 53
36.29, 100
50.27, 46
51.28, 18
64.44, 19



3.
# Dy2Tl2SbS6
Simulated powder XRD pattern, λ = 1.5418 Å (Cu Kα). Input: a PBE-relaxed structure.

Cell and atoms:
Cell lengths 6.8705, 6.8705, 7.9119 Å; angles 98.82, 98.82, 119.74 degrees
Fractional positions:
Dy: 0.1672 0.8328 0.0000
Dy: 0.8328 0.1672 0.0000
Tl: 0.3267 0.6733 0.5000
Tl: 0.6733 0.3267 0.5000
Sb: 0.5000 0.5000 0.0000
S: 0.1080 0.4311 0.8046
S: 0.2472 0.2472 0.1948
S: 0.4311 0.1080 0.8046
S: 0.5689 0.8920 0.1954
S: 0.7528 0.7528 0.8052
S: 0.8920 0.5689 0.1954

Largest 10 diffraction maxima, in order of rising 2θ, 2θ from 15° to 90°:
2θ/deg, I_rel
16.71, 19
23.62, 42
27.10, 79
30.15, 56
30.56, 100
41.21, 39
41.64, 20
45.63, 34
48.35, 26
55.82, 17



4.
# DyTl2SbS4
Simulated powder XRD pattern, λ = 1.5418 Å (Cu Kα). Input: a PBE-relaxed structure.

Cell and atoms:
Cell lengths 8.4022, 8.4022, 8.4022 Å; angles 120.68, 119.38, 89.95 degrees
Fractional positions:
Dy: 0.5000 0.0000 0.0000
Dy: 0.5000 0.5000 0.5000
Tl: 0.0000 0.0000 0.0000
Tl: 0.0000 0.0000 0.5000
Tl: 0.0000 0.5000 0.0000
Tl: 0.5000 0.0000 0.5000
Sb: 0.0000 0.5000 0.5000
Sb: 0.5000 0.5000 0.0000
S: 0.2664 0.2937 0.5273
S: 0.2664 0.7391 0.9727
S: 0.2680 0.7348 0.5332
S: 0.2984 0.2652 0.0332
S: 0.7016 0.7348 0.9668
S: 0.7320 0.2652 0.4668
S: 0.7336 0.2609 0.0273
S: 0.7336 0.7063 0.4727

Largest 10 diffraction maxima, in order of rising 2θ, 2θ from 15° to 90°:
2θ/deg, I_rel
25.81, 46
26.16, 44
30.09, 100
42.64, 12
43.07, 48
50.72, 17
51.30, 16
53.06, 13
53.82, 12
70.95, 21



5.
# DyYSbS
Simulated powder XRD pattern, λ = 1.5418 Å (Cu Kα). Input: a PBE-relaxed structure.

Cell and atoms:
Cell lengths 11.0519, 11.0519, 11.0519 Å; angles 25.88, 25.88, 25.88 degrees
Fractional positions:
Dy: 0.2055 0.2055 0.2055
Dy: 0.7945 0.7945 0.7945
Y: 0.3780 0.3780 0.3780
Y: 0.6220 0.6220 0.6220
Sb: 0.1058 0.1058 0.1058
Sb: 0.8942 0.8942 0.8942
S: 0.2951 0.2951 0.2951
S: 0.7049 0.7049 0.7049

Largest 10 diffraction maxima, in order of rising 2θ, 2θ from 15° to 90°:
2θ/deg, I_rel
21.46, 41
23.54, 25
28.54, 37
33.58, 22
34.97, 66
36.31, 100
50.28, 40
51.30, 22
64.46, 23
65.32, 17



6.
# Dy2Sc3S6
Simulated powder XRD pattern, λ = 1.5418 Å (Cu Kα). Input: a PBE-relaxed structure.

Cell and atoms:
Cell lengths 6.4939, 6.4939, 6.5910 Å; angles 99.50, 99.50, 119.78 degrees
Fractional positions:
Dy: 0.1658 0.8342 0.0000
Dy: 0.8342 0.1658 0.0000
Sc: 0.0000 0.0000 0.5000
Sc: 0.3363 0.6637 0.5000
Sc: 0.6637 0.3363 0.5000
S: 0.0808 0.4118 0.7356
S: 0.2578 0.2578 0.2601
S: 0.4118 0.0808 0.7356
S: 0.5882 0.9192 0.2644
S: 0.7422 0.7422 0.7399
S: 0.9192 0.5882 0.2644

Largest 10 diffraction maxima, in order of rising 2θ, 2θ from 15° to 90°:
2θ/deg, I_rel
15.78, 11
16.42, 22
18.39, 18
21.31, 12
27.86, 14
28.68, 14
29.09, 22
33.60, 100
47.98, 34
48.45, 23



7.
# Dy4ScS7
Simulated powder XRD pattern, λ = 1.5418 Å (Cu Kα). Input: a PBE-relaxed structure.

Cell and atoms:
Cell lengths 6.6023, 6.6023, 11.4935 Å; angles 104.14, 104.14, 33.21 degrees
Fractional positions:
Dy: 0.0000 0.0000 0.0000
Dy: 0.1897 0.1897 0.7639
Dy: 0.5867 0.5867 0.3753
Dy: 0.8876 0.8876 0.5687
Sc: 0.7775 0.7775 0.1493
S: 0.1566 0.1566 0.2180
S: 0.2267 0.2267 0.5190
S: 0.3838 0.3838 0.0777
S: 0.5480 0.5480 0.6229
S: 0.6329 0.6329 0.9314
S: 0.8496 0.8496 0.7875
S: 0.9249 0.9249 0.3490

Largest 10 diffraction maxima, in order of rising 2θ, 2θ from 15° to 90°:
2θ/deg, I_rel
24.23, 86
24.71, 100
25.39, 30
28.22, 37
28.48, 37
32.32, 40
33.56, 45
34.71, 53
42.54, 39
48.19, 53



8.
# DySc2S4
Simulated powder XRD pattern, λ = 1.5418 Å (Cu Kα). Input: a PBE-relaxed structure.

Cell and atoms:
Cell lengths 6.3712, 6.3712, 12.6771 Å; angles 90.00, 90.00, 146.33 degrees
Fractional positions:
Dy: 0.1234 0.8766 0.7500
Dy: 0.8766 0.1234 0.2500
Sc: 0.3719 0.6281 0.5652
Sc: 0.3719 0.6281 0.9348
Sc: 0.6281 0.3719 0.0652
Sc: 0.6281 0.3719 0.4348
S: 0.0000 0.0000 0.0000
S: 0.0000 0.0000 0.5000
S: 0.2730 0.7270 0.1183
S: 0.2730 0.7270 0.3817
S: 0.4586 0.5414 0.7500
S: 0.5414 0.4586 0.2500
S: 0.7270 0.2730 0.6183
S: 0.7270 0.2730 0.8817

Largest 10 diffraction maxima, in order of rising 2θ, 2θ from 15° to 90°:
2θ/deg, I_rel
16.13, 91
25.65, 100
26.19, 42
28.94, 27
33.06, 28
33.55, 92
35.79, 84
43.96, 46
46.90, 33
49.78, 35



9.
# Dy2Sc2Se3S2
Simulated powder XRD pattern, λ = 1.5418 Å (Cu Kα). Input: a PBE-relaxed structure.

Cell and atoms:
Cell lengths 8.0166, 8.0166, 8.0166 Å; angles 140.61, 140.61, 56.93 degrees
Fractional positions:
Dy: 0.2082 0.2082 0.0000
Dy: 0.7918 0.7918 0.0000
Sc: 0.0000 0.5000 0.5000
Sc: 0.5000 0.0000 0.5000
Se: 0.0000 0.0000 0.0000
Se: 0.2500 0.7500 0.5000
Se: 0.7500 0.2500 0.5000
S: 0.4013 0.4013 0.0000
S: 0.5987 0.5987 0.0000

Largest 10 diffraction maxima, in order of rising 2θ, 2θ from 15° to 90°:
2θ/deg, I_rel
17.58, 20
23.28, 23
25.27, 37
33.16, 100
35.59, 19
35.93, 65
42.15, 38
47.60, 35
49.69, 51
71.28, 28



10.
# TbDy4ScS8
Simulated powder XRD pattern, λ = 1.5418 Å (Cu Kα). Input: a PBE-relaxed structure.

Cell and atoms:
Cell lengths 7.9843, 7.9843, 7.9843 Å; angles 59.97, 59.97, 59.97 degrees
Fractional positions:
Tb: 0.0000 0.0000 0.0000
Dy: 0.9999 0.9999 0.4868
Dy: 0.9999 0.4868 0.9999
Dy: 0.4868 0.9999 0.9999
Dy: 0.6216 0.6216 0.6216
Sc: 0.3715 0.3715 0.3715
S: 0.2212 0.7545 0.7545
S: 0.2441 0.2441 0.2441
S: 0.2452 0.2452 0.7532
S: 0.2452 0.7532 0.2452
S: 0.7532 0.2452 0.2452
S: 0.7545 0.2212 0.7545
S: 0.7545 0.7545 0.2212
S: 0.7552 0.7552 0.7552

Largest 10 diffraction maxima, in order of rising 2θ, 2θ from 15° to 90°:
2θ/deg, I_rel
22.27, 15
26.18, 100
27.37, 20
31.71, 34
41.57, 43
45.45, 62
53.21, 14
63.28, 24
72.52, 14
84.00, 20



11.
# Dy4TmScS8
Simulated powder XRD pattern, λ = 1.5418 Å (Cu Kα). Input: a PBE-relaxed structure.

Cell and atoms:
Cell lengths 7.9508, 7.9508, 7.9508 Å; angles 60.09, 60.09, 60.09 degrees
Fractional positions:
Dy: 0.0000 0.0000 0.0000
Dy: 0.1344 0.6215 0.6215
Dy: 0.6215 0.1344 0.6215
Dy: 0.6215 0.6215 0.1344
Tm: 0.6217 0.6217 0.6217
Sc: 0.2495 0.2495 0.2495
S: 0.3769 0.3769 0.3769
S: 0.3799 0.3799 0.8657
S: 0.3799 0.8657 0.3799
S: 0.4019 0.8639 0.8639
S: 0.8639 0.4019 0.8639
S: 0.8639 0.8639 0.4019
S: 0.8657 0.3799 0.3799
S: 0.8664 0.8664 0.8664

Largest 10 diffraction maxima, in order of rising 2θ, 2θ from 15° to 90°:
2θ/deg, I_rel
22.35, 15
26.27, 100
27.46, 21
31.81, 35
41.71, 44
45.61, 61
53.37, 11
54.06, 11
63.50, 21
84.30, 15



12.
# Dy4Se2S5
Simulated powder XRD pattern, λ = 1.5418 Å (Cu Kα). Input: a PBE-relaxed structure.

Cell and atoms:
Cell lengths 14.0707, 14.0707, 5.7044 Å; angles 95.95, 95.95, 18.12 degrees
Fractional positions:
Dy: 0.0332 0.0332 0.2401
Dy: 0.2789 0.2789 0.2644
Dy: 0.7211 0.7211 0.7356
Dy: 0.9668 0.9668 0.7599
Se: 0.0645 0.0645 0.6905
Se: 0.9355 0.9355 0.3095
S: 0.1946 0.1946 0.4636
S: 0.1950 0.1950 0.9780
S: 0.5000 0.5000 0.0000
S: 0.8050 0.8050 0.0220
S: 0.8054 0.8054 0.5364

Largest 10 diffraction maxima, in order of rising 2θ, 2θ from 15° to 90°:
2θ/deg, I_rel
19.18, 35
20.30, 100
22.27, 48
25.93, 48
28.81, 65
31.54, 34
35.57, 48
39.80, 76
40.73, 63
42.92, 39



> What is the formula in the ninth record?

Dy2Sc2Se3S2



> Number 7 is which compound?

Dy4ScS7



Please write out number 2 again, unchanged.
# TbDySbS
Simulated powder XRD pattern, λ = 1.5418 Å (Cu Kα). Input: a PBE-relaxed structure.

Cell and atoms:
Cell lengths 11.0552, 11.0552, 11.0552 Å; angles 25.88, 25.88, 25.88 degrees
Fractional positions:
Tb: 0.1219 0.1219 0.1219
Tb: 0.8781 0.8781 0.8781
Dy: 0.2945 0.2945 0.2945
Dy: 0.7055 0.7055 0.7055
Sb: 0.3941 0.3941 0.3941
Sb: 0.6059 0.6059 0.6059
S: 0.2050 0.2050 0.2050
S: 0.7950 0.7950 0.7950

Largest 10 diffraction maxima, in order of rising 2θ, 2θ from 15° to 90°:
2θ/deg, I_rel
21.46, 29
23.54, 44
24.99, 20
28.53, 41
33.57, 24
34.96, 53
36.29, 100
50.27, 46
51.28, 18
64.44, 19